This entry pairs a crystal structure of Ac3La2Pb3 with its simulated PXRD pattern. Radiation: CuKα. Structure: a crystal structure in Alexandria, relaxed with GGA-PBE.

Top 10 peaks for 2θ from 10° to 90°, in order of rising 2θ:
- hkl 0 0 2, 24.9 deg, I = 26
- hkl 2 1 0, 27.6 deg, I = 20
- hkl 2 1 1, 30.4 deg, I = 100
- hkl 1 1 2, 30.9 deg, I = 51
- hkl 3 0 0, 31.4 deg, I = 27
- hkl 3 1 1, 40.1 deg, I = 14
- hkl 2 1 3, 47.4 deg, I = 30
- hkl 4 0 2, 49.7 deg, I = 11
- hkl 5 0 2, 60.0 deg, I = 16
- hkl 3 0 4, 61.3 deg, I = 13

```
data_Ac3La2Pb3
_cell_length_a 9.8638
_cell_length_b 9.8638
_cell_length_c 7.1440
_cell_angle_alpha 90.00
_cell_angle_beta 90.00
_cell_angle_gamma 120.00
_symmetry_space_group_name_H-M 'P 63/m c m'
_symmetry_Int_Tables_number 193
_symmetry_space_group_name_Hall '-P 6c 2'
loop_
_atom_site_label
_atom_site_type_symbol
_atom_site_fract_x
_atom_site_fract_y
_atom_site_fract_z
_atom_site_occupancy
Ac1 Ac 0.0000 0.2439 0.2500 1
La1 La 0.3333 0.6667 0.0000 1
Pb1 Pb 0.0000 0.3982 0.7500 1
```

=====

This entry pairs a crystal structure of Ac3LaPb3 with its simulated PXRD pattern. Radiation: CuKα. Structure: a crystal structure in Alexandria, relaxed with GGA-PBE.

Top 10 peaks for 2θ from 10° to 90°, in order of rising 2θ:
- hkl 1 1 0, 17.8 deg, I = 63
- hkl 0 0 6, 26.6 deg, I = 62
- hkl 2 1 1, 27.7 deg, I = 59
- hkl 1 2 2, 28.7 deg, I = 84
- hkl 3 0 0, 31.0 deg, I = 81
- hkl 1 1 6, 32.2 deg, I = 100
- hkl 3 -1 4, 32.7 deg, I = 52
- hkl 0 3 6, 41.3 deg, I = 31
- hkl 4 2 2, 57.1 deg, I = 22
- hkl 1 1 12, 58.0 deg, I = 22

```
data_Ac3LaPb3
_cell_length_a 9.9824
_cell_length_b 9.9824
_cell_length_c 20.1241
_cell_angle_alpha 90.00
_cell_angle_beta 90.00
_cell_angle_gamma 120.00
_symmetry_space_group_name_H-M 'R -3'
_symmetry_Int_Tables_number 148
_symmetry_space_group_name_Hall '-R 3'
loop_
_atom_site_label
_atom_site_type_symbol
_atom_site_fract_x
_atom_site_fract_y
_atom_site_fract_z
_atom_site_occupancy
Ac1 Ac 0.0078 0.2657 0.0915 1
La1 La 0.0000 0.0000 0.3326 1
Pb1 Pb 0.0038 0.3917 0.9260 1
```

=====

This entry pairs a crystal structure of Ac14LaPb with its simulated PXRD pattern. Radiation: CuKα. Structure: a crystal structure in Alexandria, relaxed with GGA-PBE.

Top 10 peaks for 2θ from 10° to 90°, in order of rising 2θ:
- hkl 2 0 2, 27.8 deg, I = 100
- hkl 2 2 0, 32.2 deg, I = 52
- hkl 4 0 0, 46.2 deg, I = 39
- hkl 4 2 2, 54.8 deg, I = 47
- hkl 4 0 4, 57.4 deg, I = 14
- hkl 4 4 0, 67.4 deg, I = 4
- hkl 6 0 2, 74.4 deg, I = 19
- hkl 6 2 0, 76.6 deg, I = 12
- hkl 2 2 8, 76.7 deg, I = 6
- hkl 6 2 4, 85.6 deg, I = 13

```
data_Ac14LaPb
_cell_length_a 7.864
_cell_length_b 7.864
_cell_length_c 11.104
_cell_angle_alpha 90.00
_cell_angle_beta 90.00
_cell_angle_gamma 90.00
_symmetry_space_group_name_H-M 'P 4/m m m'
_symmetry_Int_Tables_number 123
_symmetry_space_group_name_Hall '-P 4 2'
loop_
_atom_site_label
_atom_site_type_symbol
_atom_site_fract_x
_atom_site_fract_y
_atom_site_fract_z
_atom_site_occupancy
Ac1 Ac 0.000 0.000 0.000 1
Ac2 Ac 0.000 0.500 0.000 1
Ac3 Ac 0.000 0.500 0.500 1
Ac4 Ac 0.247 0.247 0.258 1
Ac5 Ac 0.500 0.500 0.000 1
La1 La 0.500 0.500 0.500 1
Pb1 Pb 0.000 0.000 0.500 1
```

=====

This entry pairs a crystal structure of AcLa15Pb4 with its simulated PXRD pattern. Radiation: CuKα. Structure: a crystal structure in Alexandria, relaxed with GGA-PBE.

Top 10 peaks for 2θ from 10° to 90°, in order of rising 2θ:
- hkl 1 1 5, 30.2 deg, I = 100
- hkl 0 0 10, 34.7 deg, I = 16
- hkl 2 0 0, 35.1 deg, I = 34
- hkl 2 0 10, 50.2 deg, I = 22
- hkl 2 2 0, 50.5 deg, I = 12
- hkl 1 1 15, 59.4 deg, I = 12
- hkl 3 1 5, 60.0 deg, I = 29
- hkl 2 2 10, 62.7 deg, I = 12
- hkl 3 1 15, 81.7 deg, I = 10
- hkl 4 2 0, 84.8 deg, I = 7

```
data_AcLa15Pb4
_cell_length_a 5.113
_cell_length_b 5.113
_cell_length_c 25.838
_cell_angle_alpha 90.00
_cell_angle_beta 90.00
_cell_angle_gamma 90.00
_symmetry_space_group_name_H-M 'P 4/m m m'
_symmetry_Int_Tables_number 123
_symmetry_space_group_name_Hall '-P 4 2'
loop_
_atom_site_label
_atom_site_type_symbol
_atom_site_fract_x
_atom_site_fract_y
_atom_site_fract_z
_atom_site_occupancy
Ac1 Ac 0.000 0.000 0.000 1
La1 La 0.000 0.500 0.108 1
La2 La 0.000 0.500 0.305 1
La3 La 0.000 0.500 0.500 1
La4 La 0.500 0.500 0.000 1
La5 La 0.500 0.500 0.208 1
La6 La 0.500 0.500 0.402 1
Pb1 Pb 0.000 0.000 0.206 1
Pb2 Pb 0.000 0.000 0.403 1
```

=====

This entry pairs a crystal structure of AcLaPd4 with its simulated PXRD pattern. Radiation: CuKα. Structure: a crystal structure in Alexandria, relaxed with GGA-PBE.

Top 10 peaks for 2θ from 10° to 90°, in order of rising 2θ:
- hkl 0 4 1, 22.8 deg, I = 18
- hkl 1 1 1, 25.6 deg, I = 29
- hkl 1 3 1, 28.4 deg, I = 32
- hkl 1 1 2, 36.7 deg, I = 84
- hkl 1 7 0, 36.9 deg, I = 100
- hkl 0 6 2, 40.1 deg, I = 40
- hkl 2 0 0, 41.2 deg, I = 38
- hkl 2 6 2, 58.8 deg, I = 26
- hkl 1 13 2, 70.8 deg, I = 17
- hkl 1 7 4, 74.5 deg, I = 25

```
data_AcLaPd4
_cell_length_a 4.380
_cell_length_b 20.531
_cell_length_c 5.976
_cell_angle_alpha 90.00
_cell_angle_beta 90.00
_cell_angle_gamma 90.00
_symmetry_space_group_name_H-M 'C m c m'
_symmetry_Int_Tables_number 63
_symmetry_space_group_name_Hall '-C 2c 2'
loop_
_atom_site_label
_atom_site_type_symbol
_atom_site_fract_x
_atom_site_fract_y
_atom_site_fract_z
_atom_site_occupancy
Ac1 Ac 0.000 0.220 0.250 1
La1 La 0.000 0.075 0.750 1
Pd1 Pd 0.000 0.070 0.250 1
Pd2 Pd 0.000 0.358 0.512 1
Pd3 Pd 0.000 0.500 0.000 1
```

=====

This entry pairs a crystal structure of AcLaZnPd with its simulated PXRD pattern. Radiation: CuKα. Structure: a crystal structure in Alexandria, relaxed with GGA-PBE.

Top 10 peaks for 2θ from 10° to 90°, in order of rising 2θ:
- hkl 1 0 2, 24.8 deg, I = 27
- hkl 1 1 1, 29.6 deg, I = 100
- hkl 0 0 4, 31.3 deg, I = 24
- hkl 0 1 3, 31.5 deg, I = 46
- hkl 1 0 4, 37.0 deg, I = 24
- hkl 1 1 3, 37.2 deg, I = 53
- hkl 2 0 0, 39.0 deg, I = 28
- hkl 0 2 0, 42.5 deg, I = 22
- hkl 2 1 3, 51.0 deg, I = 24
- hkl 2 2 0, 59.1 deg, I = 16

```
data_AcLaZnPd
_cell_length_a 4.616
_cell_length_b 4.253
_cell_length_c 11.430
_cell_angle_alpha 90.00
_cell_angle_beta 90.00
_cell_angle_gamma 90.00
_symmetry_space_group_name_H-M 'A m m 2'
_symmetry_Int_Tables_number 38
loop_
_symmetry_equiv_pos_as_xyz
'x,y,z'
'-x,-y,z'
'-x,y,z'
'x,-y,z'
'x,y+1/2,z+1/2'
'-x,-y+1/2,z+1/2'
'-x,y+1/2,z+1/2'
'x,-y+1/2,z+1/2'
loop_
_atom_site_label
_atom_site_type_symbol
_atom_site_fract_x
_atom_site_fract_y
_atom_site_fract_z
_atom_site_occupancy
Ac1 Ac 0.000 0.000 0.000 1
La1 La 0.500 0.000 0.282 1
Zn1 Zn 0.500 0.000 0.575 1
Pd1 Pd 0.000 0.000 0.714 1
```

=====

This entry pairs a crystal structure of Ac2LaPm3 with its simulated PXRD pattern. Radiation: CuKα. Structure: a crystal structure in Alexandria, relaxed with GGA-PBE.

Top 10 peaks for 2θ from 10° to 90°, in order of rising 2θ:
- hkl 1 1 -2, 27.1 deg, I = 51
- hkl 6 0 0, 29.5 deg, I = 48
- hkl 6 0 -4, 30.0 deg, I = 100
- hkl 0 0 4, 31.6 deg, I = 94
- hkl 7 1 -2, 37.9 deg, I = 17
- hkl 5 1 2, 42.9 deg, I = 18
- hkl 5 1 -6, 47.5 deg, I = 26
- hkl 12 0 -4, 51.6 deg, I = 20
- hkl 6 0 4, 54.6 deg, I = 22
- hkl 11 1 -6, 56.9 deg, I = 30

```
data_Ac2LaPm3
_cell_length_a 21.295
_cell_length_b 3.821
_cell_length_c 13.273
_cell_angle_alpha 90.00
_cell_angle_beta 121.35
_cell_angle_gamma 90.00
_symmetry_space_group_name_H-M 'C 1 2/m 1'
_symmetry_Int_Tables_number 12
loop_
_symmetry_equiv_pos_as_xyz
'x,y,z'
'-x,-y,-z'
'-x,y,-z'
'x,-y,z'
'x+1/2,y+1/2,z'
'-x+1/2,-y+1/2,-z'
'-x+1/2,y+1/2,-z'
'x+1/2,-y+1/2,z'
loop_
_atom_site_label
_atom_site_type_symbol
_atom_site_fract_x
_atom_site_fract_y
_atom_site_fract_z
_atom_site_occupancy
Ac1 Ac 0.248 0.000 0.123 1
Ac2 Ac 0.249 0.000 0.625 1
La1 La 0.081 0.000 0.651 1
Pm1 Pm 0.080 0.500 0.901 1
Pm2 Pm 0.081 0.000 0.149 1
Pm3 Pm 0.082 0.500 0.397 1
```

=====

This entry pairs a crystal structure of AcLa6Pm with its simulated PXRD pattern. Radiation: CuKα. Structure: a crystal structure in Alexandria, relaxed with GGA-PBE.

Top 10 peaks for 2θ from 10° to 90°, in order of rising 2θ:
- hkl 0 0 2, 16.7 deg, I = 2
- hkl 1 1 0, 23.7 deg, I = 1
- hkl 1 1 2, 29.2 deg, I = 100
- hkl 2 0 0, 33.8 deg, I = 51
- hkl 2 2 0, 48.6 deg, I = 37
- hkl 3 1 2, 57.7 deg, I = 44
- hkl 2 2 4, 60.5 deg, I = 13
- hkl 4 0 0, 71.2 deg, I = 6
- hkl 3 3 2, 78.7 deg, I = 18
- hkl 4 2 0, 81.2 deg, I = 16

```
data_AcLa6Pm
_cell_length_a 5.298
_cell_length_b 5.298
_cell_length_c 10.600
_cell_angle_alpha 90.00
_cell_angle_beta 90.00
_cell_angle_gamma 90.00
_symmetry_space_group_name_H-M 'P 4/m m m'
_symmetry_Int_Tables_number 123
_symmetry_space_group_name_Hall '-P 4 2'
loop_
_atom_site_label
_atom_site_type_symbol
_atom_site_fract_x
_atom_site_fract_y
_atom_site_fract_z
_atom_site_occupancy
Ac1 Ac 0.000 0.000 0.000 1
La1 La 0.000 0.500 0.256 1
La2 La 0.500 0.500 0.000 1
La3 La 0.500 0.500 0.500 1
Pm1 Pm 0.000 0.000 0.500 1
```

=====

This entry pairs a crystal structure of Ac6La2Pm with its simulated PXRD pattern. Radiation: CuKα. Structure: a crystal structure in Alexandria, relaxed with GGA-PBE.

Top 10 peaks for 2θ from 10° to 90°, in order of rising 2θ:
- hkl 1 0 0, 26.3 deg, I = 47
- hkl 0 0 9, 27.6 deg, I = 45
- hkl 1 0 4, 29.1 deg, I = 57
- hkl 1 0 5, 30.5 deg, I = 100
- hkl 1 0 9, 38.5 deg, I = 31
- hkl 1 1 0, 46.4 deg, I = 38
- hkl 1 0 14, 51.6 deg, I = 34
- hkl 1 1 9, 54.9 deg, I = 41
- hkl 2 0 5, 56.6 deg, I = 18
- hkl 2 1 5, 76.1 deg, I = 15

```
data_Ac6La2Pm
_cell_length_a 3.9123
_cell_length_b 3.9123
_cell_length_c 29.0664
_cell_angle_alpha 90.00
_cell_angle_beta 90.00
_cell_angle_gamma 120.00
_symmetry_space_group_name_H-M 'P -6 m 2'
_symmetry_Int_Tables_number 187
_symmetry_space_group_name_Hall 'P -6 2'
loop_
_atom_site_label
_atom_site_type_symbol
_atom_site_fract_x
_atom_site_fract_y
_atom_site_fract_z
_atom_site_occupancy
Ac1 Ac 0.0000 0.0000 0.0649 1
Ac2 Ac 0.0000 0.0000 0.2812 1
Ac3 Ac 0.3333 0.6667 0.3948 1
La1 La 0.3333 0.6667 0.1707 1
Pm1 Pm 0.0000 0.0000 0.5000 1
```

=====

This entry pairs a crystal structure of AcLa8Pm2 with its simulated PXRD pattern. Radiation: CuKα. Structure: a crystal structure in Alexandria, relaxed with GGA-PBE.

Top 10 peaks for 2θ from 10° to 90°, in order of rising 2θ:
- hkl 1 1 3, 29.6 deg, I = 100
- hkl 0 0 6, 32.7 deg, I = 19
- hkl 2 0 0, 35.1 deg, I = 32
- hkl 2 0 6, 48.7 deg, I = 25
- hkl 2 2 0, 50.4 deg, I = 11
- hkl 1 1 9, 56.5 deg, I = 15
- hkl 3 1 3, 59.6 deg, I = 28
- hkl 2 2 6, 61.4 deg, I = 12
- hkl 3 1 9, 79.1 deg, I = 12
- hkl 3 3 3, 81.8 deg, I = 6

```
data_AcLa8Pm2
_cell_length_a 5.117
_cell_length_b 5.117
_cell_length_c 16.411
_cell_angle_alpha 90.00
_cell_angle_beta 90.00
_cell_angle_gamma 90.00
_symmetry_space_group_name_H-M 'P 4/m m m'
_symmetry_Int_Tables_number 123
_symmetry_space_group_name_Hall '-P 4 2'
loop_
_atom_site_label
_atom_site_type_symbol
_atom_site_fract_x
_atom_site_fract_y
_atom_site_fract_z
_atom_site_occupancy
Ac1 Ac 0.000 0.000 0.000 1
La1 La 0.000 0.500 0.175 1
La2 La 0.000 0.500 0.500 1
La3 La 0.500 0.500 0.333 1
Pm1 Pm 0.000 0.000 0.333 1
```

=====

This entry pairs a crystal structure of AcLa12Pm5 with its simulated PXRD pattern. Radiation: CuKα. Structure: a crystal structure in Alexandria, relaxed with GGA-PBE.

Top 10 peaks for 2θ from 10° to 90°, in order of rising 2θ:
- hkl 6 0 0, 29.4 deg, I = 100
- hkl 2 0 2, 34.0 deg, I = 51
- hkl 7 3 1, 48.9 deg, I = 30
- hkl 0 6 0, 49.0 deg, I = 6
- hkl 8 0 2, 58.0 deg, I = 15
- hkl 11 3 -1, 58.1 deg, I = 29
- hkl 12 0 0, 60.9 deg, I = 13
- hkl 13 3 1, 79.3 deg, I = 9
- hkl 16 0 -2, 79.3 deg, I = 9
- hkl 9 3 3, 81.8 deg, I = 11

```
data_AcLa12Pm5
_cell_length_a 19.353
_cell_length_b 11.161
_cell_length_c 6.454
_cell_angle_alpha 90.00
_cell_angle_beta 109.42
_cell_angle_gamma 90.00
_symmetry_space_group_name_H-M 'C 1 2/m 1'
_symmetry_Int_Tables_number 12
loop_
_symmetry_equiv_pos_as_xyz
'x,y,z'
'-x,-y,-z'
'-x,y,-z'
'x,-y,z'
'x+1/2,y+1/2,z'
'-x+1/2,-y+1/2,-z'
'-x+1/2,y+1/2,-z'
'x+1/2,-y+1/2,z'
loop_
_atom_site_label
_atom_site_type_symbol
_atom_site_fract_x
_atom_site_fract_y
_atom_site_fract_z
_atom_site_occupancy
Ac1 Ac 0.000 0.000 0.000 1
La1 La 0.000 0.172 0.500 1
La2 La 0.000 0.336 0.000 1
La3 La 0.166 0.332 0.837 1
La4 La 0.168 0.169 0.336 1
Pm1 Pm 0.000 0.500 0.500 1
Pm2 Pm 0.166 0.500 0.336 1
Pm3 Pm 0.168 0.000 0.830 1
```

=====

This entry pairs a crystal structure of AcLa8Pm2 with its simulated PXRD pattern. Radiation: CuKα. Structure: a crystal structure in Alexandria, relaxed with GGA-PBE.

Top 10 peaks for 2θ from 10° to 90°, in order of rising 2θ:
- hkl 1 1 4, 28.5 deg, I = 35
- hkl 1 2 3, 30.5 deg, I = 100
- hkl 0 3 1, 31.2 deg, I = 21
- hkl 2 0 0, 31.4 deg, I = 33
- hkl 0 0 6, 32.4 deg, I = 16
- hkl 2 0 6, 45.7 deg, I = 12
- hkl 0 3 7, 49.7 deg, I = 13
- hkl 3 2 3, 55.2 deg, I = 20
- hkl 1 5 4, 59.8 deg, I = 14
- hkl 2 3 7, 59.9 deg, I = 16

```
data_AcLa8Pm2
_cell_length_a 5.706
_cell_length_b 8.721
_cell_length_c 16.572
_cell_angle_alpha 90.00
_cell_angle_beta 90.00
_cell_angle_gamma 90.00
_symmetry_space_group_name_H-M 'I m m m'
_symmetry_Int_Tables_number 71
_symmetry_space_group_name_Hall '-I 2 2'
loop_
_atom_site_label
_atom_site_type_symbol
_atom_site_fract_x
_atom_site_fract_y
_atom_site_fract_z
_atom_site_occupancy
Ac1 Ac 0.000 0.000 0.000 1
La1 La 0.000 0.205 0.500 1
La2 La 0.000 0.299 0.144 1
La3 La 0.000 0.500 0.344 1
Pm1 Pm 0.000 0.000 0.298 1
```